For Nd2ZnCu16, a structure optimized by DFT (GGA-PBE) gives the computed X-ray diffraction stick pattern in this record (Cu Kα).

Crystal structure
abc: 8.6433 8.6433 12.6484
angles: 90.00 90.00 120.00
Space group R3m (No. 160, hexagonal axes)
Asymmetric unit:
Nd  0.0000  0.0000  0.0000 [3 per cell]
Nd  0.0000  0.0000  0.3102 [3 per cell]
Zn  0.0000  0.0000  0.5608 [3 per cell]
Cu  0.0000  0.0000  0.7572 [3 per cell]
Cu  0.9996  0.2934  0.6598 [18 per cell]
Cu  0.0028  0.5014  0.5040 [9 per cell]
Cu  0.1671  0.3342  0.1466 [9 per cell]
Cu  0.1669  0.3339  0.4928 [9 per cell]

Peak list (10 most intense, 5° ≤ 2θ ≤ 70°, low angle first)
2θ (°)	I_rel	index
29.6	27	1 1 3
36.0	40	3 0 0
37.2	30	0 2 4
41.8	63	2 2 0
42.1	100	3 0 3
42.9	50	0 0 6
47.3	33	2 2 3
60.8	21	2 1 7
61.4	25	2 2 6
68.9	17	3 3 3